This entry pairs a crystal structure of Na2CdBiF8 with its calculated X-ray diffraction stick pattern. Radiation: Cu Kα, 1.54184 Å. Structure: a crystal structure in Alexandria, relaxed with PBE.
Lines closer than 0.1° are merged.

Crystal structure
```
data_Na2CdBiF8
_cell_length_a 3.8741
_cell_length_b 5.5633
_cell_length_c 7.8279
_cell_angle_alpha 90.00
_cell_angle_beta 90.00
_cell_angle_gamma 90.00
_symmetry_space_group_name_H-M 'P m m m'
_symmetry_Int_Tables_number 47
loop_
_symmetry_equiv_pos_as_xyz
'x,y,z'
'-x,-y,-z'
'-x,-y,z'
'x,y,-z'
'x,-y,-z'
'-x,y,z'
'-x,y,-z'
'x,-y,z'
loop_
_atom_site_label
_atom_site_fract_x
_atom_site_fract_y
_atom_site_fract_z
Na1 0.0000 0.0000 0.2293
Cd1 0.5000 0.5000 0.0000
Bi1 0.5000 0.5000 0.5000
F1 0.0000 0.2630 0.0000
F2 0.0000 0.2757 0.5000
F3 0.5000 0.2630 0.2702
```

Top 10 peaks for 15° ≤ 2θ ≤ 90°, sorted by position:
hkl 0 1 0, 15.93 deg, intensity 95
hkl 0 0 2, 22.72 deg, intensity 39
hkl 1 0 0, 22.96 deg, intensity 37
hkl 0 1 2, 27.87 deg, intensity 86
hkl 1 1 0, 28.07 deg, intensity 82
hkl 1 1 2, 36.41 deg, intensity 41
hkl 1 2 2, 46.40 deg, intensity 100
hkl 2 0 0, 46.91 deg, intensity 20
hkl 1 1 4, 55.11 deg, intensity 24
hkl 2 1 2, 55.44 deg, intensity 25